Diffraction record for ZnCo2P2O9. The X-ray diffraction stick pattern is theoretical, not measured: it uses the PBE+U geometry in the Materials Project and CuKα.
Kinematic intensities with the Lorentz-polarization factor, no thermal factor.

Largest 10 diffraction maxima, by angle, 10° ≤ 2θ ≤ 90°:
| index | 2θ/deg | intensity |
| --- | --- | --- |
| 0 2 0 | 24.84 | 35 |
| 0 2 1 | 25.52 | 100 |
| 0 2 -1 | 25.67 | 98 |
| 2 0 0 | 28.88 | 66 |
| 2 0 2 | 31.54 | 57 |
| 2 1 -1 | 32.05 | 32 |
| 2 -1 1 | 32.24 | 31 |
| 0 1 5 | 33.55 | 34 |
| 0 1 -5 | 33.83 | 35 |
| -2 1 3 | 36.90 | 33 |

Cell and atoms:
Lattice parameters (Å, degrees): 6.1822 7.1769 14.3218 89.32 89.88 89.54
Sites, in units of the cell vectors:
Zn 0.2491 0.0994 0.2222
Zn 0.2494 0.3970 0.7278
Zn 0.7506 0.6030 0.2722
Zn 0.7509 0.9006 0.7778
Co 0.0000 0.0000 0.0000
Co 0.0000 0.5000 0.5000
Co 0.2501 0.6497 0.1218
Co 0.2515 0.8518 0.6203
Co 0.5000 0.0000 0.0000
Co 0.5000 0.5000 0.5000
Co 0.7485 0.1482 0.3797
Co 0.7499 0.3503 0.8782
P 0.2471 0.1356 0.4290
P 0.2497 0.3637 0.9313
P 0.2503 0.6171 0.3010
P 0.2505 0.8866 0.8023
P 0.7495 0.1134 0.1977
P 0.7497 0.3829 0.6990
P 0.7503 0.6363 0.0687
P 0.7529 0.8644 0.5710
O 0.0365 0.6037 0.3593
O 0.0366 0.8936 0.8616
O 0.0600 0.1266 0.3578
O 0.0599 0.3680 0.8606
O 0.2358 0.6329 0.5445
O 0.2426 0.3291 0.4785
O 0.2495 0.1656 0.9803
O 0.2495 0.5124 0.0027
O 0.2500 0.8022 0.2424
O 0.2512 0.0487 0.7289
O 0.2510 0.4611 0.2251
O 0.2514 0.7034 0.7437
O 0.2505 0.8612 0.0449
O 0.2516 0.9822 0.5010
O 0.4403 0.3672 0.8607
O 0.4420 0.1331 0.3606
O 0.4634 0.6020 0.3597
O 0.4644 0.8927 0.8612
O 0.5356 0.1073 0.1388
O 0.5366 0.3980 0.6403
O 0.5580 0.8669 0.6394
O 0.5597 0.6328 0.1393
O 0.7484 0.0178 0.4990
O 0.7495 0.1388 0.9551
O 0.7486 0.2966 0.2563
O 0.7490 0.5389 0.7749
O 0.7488 0.9513 0.2711
O 0.7500 0.1978 0.7576
O 0.7505 0.4876 0.9973
O 0.7505 0.8344 0.0197
O 0.7574 0.6709 0.5215
O 0.7642 0.3671 0.4555
O 0.9401 0.6320 0.1394
O 0.9400 0.8734 0.6422
O 0.9634 0.1064 0.1384
O 0.9635 0.3963 0.6407